Entry 1:
Diffraction record for Ce5Cu3Hg3. The powder X-ray diffraction pattern is simulated, not measured: it uses a PBE-relaxed structure and CuKα.

Main lines, in order of rising 2θ (15 to 90 degrees two-theta):
- 2θ 18.32, I = 13
- 2θ 32.00, I = 95
- 2θ 34.44, I = 100
- 2θ 38.70, I = 25
- 2θ 40.79, I = 17
- 2θ 47.73, I = 45
- 2θ 56.33, I = 12
- 2θ 57.04, I = 13
- 2θ 58.62, I = 23
- 2θ 69.55, I = 21

Cell and atoms:
abc: 9.6876 9.6876 3.0878
angles: 90.00 90.00 120.00
Fractional coordinates of all 11 atoms:
Ce 0.0000 0.6614 0.0000
Ce 0.3333 0.6667 0.0000
Ce 0.3386 0.3386 0.0000
Ce 0.6614 0.0000 0.0000
Ce 0.6667 0.3333 0.0000
Cu 0.0000 0.1437 0.0000
Cu 0.1437 0.0000 0.0000
Cu 0.8563 0.8563 0.0000
Hg 0.0000 0.3694 0.5000
Hg 0.3694 0.0000 0.5000
Hg 0.6306 0.6306 0.5000

Entry 2:
Diffraction record for Ce2Cu3Hg. The powder X-ray diffraction pattern is simulated, not measured: it uses a PBE-relaxed structure and CuKα.

Main lines, in order of rising 2θ (15 to 90 degrees two-theta):
- 2θ 27.74, I = 35
- 2θ 33.67, I = 100
- 2θ 35.17, I = 54
- 2θ 35.32, I = 15
- 2θ 44.59, I = 25
- 2θ 45.40, I = 20
- 2θ 45.89, I = 19
- 2θ 59.11, I = 24
- 2θ 65.53, I = 15
- 2θ 66.53, I = 13

Cell and atoms:
abc: 8.7528 8.7528 8.7528
angles: 153.89 153.61 37.46
Fractional coordinates of all 6 atoms:
Ce 0.0000 0.0000 0.0000
Ce 0.7779 0.2779 0.5000
Cu 0.2029 0.7029 0.5000
Cu 0.3500 0.8500 0.5000
Cu 0.4346 0.4346 0.0000
Hg 0.6013 0.6013 0.0000

Entry 3:
Diffraction record for CeCuSnHg. The powder X-ray diffraction pattern is simulated, not measured: it uses a PBE-relaxed structure and CuKα.

Main lines, in order of rising 2θ (15 to 90 degrees two-theta):
- 2θ 21.56, I = 14
- 2θ 35.58, I = 100
- 2θ 41.98, I = 8
- 2θ 51.19, I = 18
- 2θ 56.17, I = 4
- 2θ 63.89, I = 37
- 2θ 68.28, I = 3
- 2θ 75.32, I = 11
- 2θ 79.43, I = 3
- 2θ 86.17, I = 17

Cell and atoms:
abc: 5.0471 5.0471 5.0471
angles: 60.00 60.00 60.00
Fractional coordinates of all 4 atoms:
Ce 0.0000 0.0000 0.0000
Cu 0.2500 0.2500 0.2500
Sn 0.5000 0.5000 0.5000
Hg 0.7500 0.7500 0.7500